# Pm2Dy4Tm3
Simulated powder diffractogram, Cu Kα (λ = 1.5418 Å). Input: DFT lattice parameters and positions (GGA-PBE).
Intensities are scaled so that the largest is 100.

Crystal structure
Cell: 9.911 9.911 6.131 Å, 94.85 94.85 71.58°
Element x y z (fractional)
Pm 0.024 0.734 0.679
Pm 0.266 0.976 0.821
Pm 0.734 0.024 0.179
Pm 0.976 0.266 0.321
Dy 0.076 0.355 0.848
Dy 0.312 0.594 0.986
Dy 0.355 0.076 0.348
Dy 0.406 0.688 0.514
Dy 0.594 0.312 0.486
Dy 0.645 0.924 0.652
Dy 0.688 0.406 0.014
Dy 0.924 0.645 0.152
Tm 0.098 0.902 0.250
Tm 0.237 0.433 0.409
Tm 0.433 0.237 0.909
Tm 0.567 0.763 0.091
Tm 0.763 0.567 0.591
Tm 0.902 0.098 0.750

Principal peaks in the range 2θ from 10° to 80°, by angle:
two_theta	Rel. int.
30.26	63
30.85	47
31.16	60
31.99	100
37.54	33
38.28	27
50.30	14
52.07	12
56.26	21
58.34	13